1.
Computed powder X-ray diffraction pattern
Compound: TiZnGa
Radiation: CuKα
Structure: DFT lattice parameters and positions (GGA-PBE)

Cell and atoms:
```
TiZnGa
1.0
4.237 0.000 0.000
-2.118 3.669 0.000
0.000 0.000 2.986
Ti Zn Ga
1 1 1
Direct
0.000 0.000 0.000
0.333 0.667 0.500
0.667 0.333 0.500
```

Peak list (10 most intense, 2θ = 10–90°, by angle)
2θ (°), I (rel.)
24.26, 6.9
29.92, 22.5
38.88, 100.0
42.68, 98.2
53.00, 27.4
59.10, 27.1
62.17, 10.0
75.60, 24.9
78.14, 14.9
78.35, 29.5

2.
Computed powder X-ray diffraction pattern
Compound: TlAu2SI
Radiation: CuKα
Structure: DFT lattice parameters and positions (GGA-PBE)

Cell and atoms:
```
TlAu2SI
1.0
5.408 0.000 0.000
0.000 5.408 0.000
0.000 0.000 5.311
Tl Au S I
1 2 1 1
Direct
0.000 0.000 0.000
0.000 0.500 0.500
0.500 0.000 0.500
0.500 0.500 0.000
0.500 0.500 0.500
```

Peak list (10 most intense, 2θ = 10–90°, by angle)
2θ (°), I (rel.)
16.69, 29.0
23.48, 55.1
28.77, 100.0
33.13, 78.2
33.76, 37.2
41.01, 26.3
47.56, 28.6
48.02, 55.6
56.54, 31.1
59.58, 29.3

3.
Computed powder X-ray diffraction pattern
Compound: AsC3
Radiation: CuKα
Structure: DFT lattice parameters and positions (GGA-PBE)

Cell and atoms:
```
AsC3
1.0
2.459 0.000 0.000
-1.223 3.537 0.000
-0.131 -1.598 5.998
As C
1 3
Direct
0.000 0.000 0.000
0.085 0.214 0.597
0.689 0.421 0.597
0.906 0.847 0.664
```

Peak list (10 most intense, 2θ = 10–90°, by angle)
2θ (°), I (rel.)
14.77, 100.0
26.07, 49.3
26.48, 50.1
29.79, 43.4
33.35, 29.3
34.33, 25.6
38.89, 24.6
38.99, 23.6
40.31, 15.7
45.36, 16.0

4.
Computed powder X-ray diffraction pattern
Compound: LiTl2P3Pt12
Radiation: CuKα
Structure: DFT lattice parameters and positions (GGA-PBE)

Cell and atoms:
```
LiTl2P3Pt12
1.0
4.103 2.369 5.683
-4.103 2.369 5.683
0.000 -4.738 5.683
Li Tl P Pt
1 2 3 12
Direct
0.000 0.000 0.000
0.392 0.392 0.392
0.608 0.608 0.608
0.000 0.000 0.500
0.000 0.500 0.000
0.500 0.000 0.000
0.107 0.645 0.645
0.137 0.137 0.623
0.137 0.623 0.137
0.355 0.355 0.893
0.355 0.893 0.355
0.377 0.863 0.863
0.623 0.137 0.137
0.645 0.107 0.645
0.645 0.645 0.107
0.863 0.377 0.863
0.863 0.863 0.377
0.893 0.355 0.355
```

Peak list (10 most intense, 2θ = 10–90°, by angle)
2θ (°), I (rel.)
21.66, 6.2
32.82, 100.0
44.15, 52.2
49.90, 30.6
56.08, 20.7
68.80, 11.0
74.00, 17.1
81.22, 7.9
82.61, 8.5
85.45, 11.7